# HfS2Cl4
Theoretical powder XRD pattern, Cu Kα (λ = 1.5418 Å). Input: the PBE geometry in Alexandria.
Peak positions follow from Bragg's law for the DFT cell and can differ from measured ones.

Atomic structure:
Cell lengths 20.541, 3.628, 6.463 Å; angles 90.00, 99.08, 90.00 degrees
Sites, in units of the cell vectors:
Hf 0.000 0.000 0.000
Hf 0.500 0.500 0.000
S 0.249 0.000 0.415
S 0.251 0.500 0.585
S 0.749 0.500 0.415
S 0.751 0.000 0.585
Cl 0.053 0.500 0.241
Cl 0.092 0.000 0.821
Cl 0.408 0.500 0.179
Cl 0.447 0.000 0.759
Cl 0.553 0.000 0.241
Cl 0.592 0.500 0.821
Cl 0.908 0.000 0.179
Cl 0.947 0.500 0.759

The 12 most intense peaks (2θ = 10–90°), in order of rising 2θ:
| Position (°2θ) | I/Imax |
| --- | --- |
| 13.88 | 32 |
| 15.19 | 67 |
| 17.53 | 100 |
| 24.93 | 20 |
| 27.86 | 32 |
| 28.29 | 16 |
| 28.99 | 25 |
| 32.24 | 41 |
| 35.52 | 18 |
| 38.34 | 32 |
| 46.22 | 20 |
| 49.26 | 14 |

# HfTe6Cl6
Theoretical powder XRD pattern, Cu Kα (λ = 1.5418 Å). Input: the PBE geometry in Alexandria.
Peak positions follow from Bragg's law for the DFT cell and can differ from measured ones.

Atomic structure:
Cell lengths 11.504, 11.412, 13.076 Å; angles 90.00, 90.00, 90.00 degrees
Sites, in units of the cell vectors:
Hf 0.237 0.210 0.250
Hf 0.237 0.290 0.750
Hf 0.763 0.710 0.250
Hf 0.763 0.790 0.750
Te 0.111 0.636 0.533
Te 0.111 0.636 0.967
Te 0.111 0.864 0.033
Te 0.111 0.864 0.467
Te 0.223 0.745 0.750
Te 0.223 0.755 0.250
Te 0.310 0.599 0.094
Te 0.310 0.599 0.406
Te 0.310 0.901 0.594
Te 0.310 0.901 0.906
Te 0.469 0.750 0.000
Te 0.469 0.750 0.500
Te 0.531 0.250 0.000
Te 0.531 0.250 0.500
Te 0.690 0.099 0.094
Te 0.690 0.099 0.406
Te 0.690 0.401 0.594
Te 0.690 0.401 0.906
Te 0.777 0.245 0.750
Te 0.777 0.255 0.250
Te 0.889 0.136 0.533
Te 0.889 0.136 0.967
Te 0.889 0.364 0.033
Te 0.889 0.364 0.467
Cl 0.084 0.061 0.250
Cl 0.084 0.439 0.750
Cl 0.135 0.171 0.619
Cl 0.135 0.171 0.881
Cl 0.135 0.329 0.119
Cl 0.135 0.329 0.381
Cl 0.341 0.097 0.116
Cl 0.341 0.097 0.384
Cl 0.341 0.403 0.616
Cl 0.341 0.403 0.884
Cl 0.395 0.149 0.750
Cl 0.395 0.351 0.250
Cl 0.605 0.649 0.750
Cl 0.605 0.851 0.250
Cl 0.659 0.597 0.116
Cl 0.659 0.597 0.384
Cl 0.659 0.903 0.616
Cl 0.659 0.903 0.884
Cl 0.865 0.671 0.619
Cl 0.865 0.671 0.881
Cl 0.865 0.829 0.119
Cl 0.865 0.829 0.381
Cl 0.916 0.561 0.250
Cl 0.916 0.939 0.750

The 12 most intense peaks (2θ = 10–90°), in order of rising 2θ:
| Position (°2θ) | I/Imax |
| --- | --- |
| 10.92 | 27 |
| 15.40 | 50 |
| 15.53 | 59 |
| 17.43 | 89 |
| 20.58 | 67 |
| 22.98 | 27 |
| 25.87 | 100 |
| 26.88 | 55 |
| 28.05 | 42 |
| 31.54 | 35 |
| 34.91 | 53 |
| 44.90 | 30 |

# HfZrCl2
Theoretical powder XRD pattern, Cu Kα (λ = 1.5418 Å). Input: the PBE geometry in Alexandria.
Peak positions follow from Bragg's law for the DFT cell and can differ from measured ones.

Atomic structure:
Cell lengths 5.929, 3.424, 9.812 Å; angles 90.00, 99.06, 90.00 degrees
Sites, in units of the cell vectors:
Hf 0.000 0.000 0.000
Hf 0.500 0.500 0.000
Zr 0.104 0.500 0.760
Zr 0.604 0.000 0.760
Cl 0.223 0.000 0.578
Cl 0.380 0.000 0.180
Cl 0.723 0.500 0.578
Cl 0.880 0.500 0.180

The 12 most intense peaks (2θ = 10–90°), in order of rising 2θ:
| Position (°2θ) | I/Imax |
| --- | --- |
| 18.31 | 18 |
| 30.53 | 24 |
| 30.92 | 62 |
| 33.34 | 56 |
| 34.26 | 100 |
| 36.86 | 37 |
| 37.11 | 22 |
| 38.10 | 23 |
| 43.10 | 49 |
| 44.64 | 20 |
| 53.56 | 41 |
| 72.22 | 18 |

# Hg2Cl5
Theoretical powder XRD pattern, Cu Kα (λ = 1.5418 Å). Input: the PBE geometry in Alexandria.
Peak positions follow from Bragg's law for the DFT cell and can differ from measured ones.

Atomic structure:
Cell lengths 11.327, 11.327, 4.328 Å; angles 91.80, 91.80, 64.87 degrees
Sites, in units of the cell vectors:
Hg 0.095 0.609 0.656
Hg 0.391 0.905 0.844
Hg 0.609 0.095 0.156
Hg 0.905 0.391 0.344
Cl 0.046 0.777 0.019
Cl 0.166 0.431 0.310
Cl 0.223 0.954 0.481
Cl 0.431 0.166 0.810
Cl 0.474 0.526 0.750
Cl 0.526 0.474 0.250
Cl 0.569 0.834 0.190
Cl 0.777 0.046 0.519
Cl 0.834 0.569 0.690
Cl 0.954 0.223 0.981

The 12 most intense peaks (2θ = 10–90°), in order of rising 2θ:
| Position (°2θ) | I/Imax |
| --- | --- |
| 14.58 | 100 |
| 17.30 | 23 |
| 18.57 | 41 |
| 22.15 | 68 |
| 23.69 | 65 |
| 25.54 | 25 |
| 26.38 | 27 |
| 30.48 | 36 |
| 31.53 | 21 |
| 33.75 | 45 |
| 39.06 | 34 |
| 45.85 | 23 |

# Hg7Cl
Theoretical powder XRD pattern, Cu Kα (λ = 1.5418 Å). Input: the PBE geometry in Alexandria.
Peak positions follow from Bragg's law for the DFT cell and can differ from measured ones.

Atomic structure:
Cell lengths 5.317, 5.317, 15.600 Å; angles 90.00, 90.00, 90.00 degrees
Sites, in units of the cell vectors:
Hg 0.000 0.000 0.000
Hg 0.000 0.000 0.251
Hg 0.000 0.000 0.749
Hg 0.000 0.500 0.125
Hg 0.000 0.500 0.375
Hg 0.000 0.500 0.625
Hg 0.000 0.500 0.875
Hg 0.500 0.000 0.125
Hg 0.500 0.000 0.375
Hg 0.500 0.000 0.625
Hg 0.500 0.000 0.875
Hg 0.500 0.500 0.249
Hg 0.500 0.500 0.500
Hg 0.500 0.500 0.751
Cl 0.000 0.000 0.500
Cl 0.500 0.500 0.000

The 12 most intense peaks (2θ = 10–90°), in order of rising 2θ:
| Position (°2θ) | I/Imax |
| --- | --- |
| 33.09 | 100 |
| 33.71 | 48 |
| 46.57 | 10 |
| 48.42 | 17 |
| 58.72 | 20 |
| 59.90 | 37 |
| 69.44 | 12 |
| 70.89 | 6 |
| 77.72 | 9 |
| 80.49 | 8 |
| 80.84 | 8 |
| 89.15 | 7 |

# HgCl3
Theoretical powder XRD pattern, Cu Kα (λ = 1.5418 Å). Input: the PBE geometry in Alexandria.
Peak positions follow from Bragg's law for the DFT cell and can differ from measured ones.

Atomic structure:
Cell lengths 5.373, 11.685, 7.200 Å; angles 90.00, 90.00, 90.00 degrees
Sites, in units of the cell vectors:
Hg 0.070 0.250 0.024
Hg 0.430 0.750 0.524
Hg 0.570 0.250 0.476
Hg 0.930 0.750 0.976
Cl 0.071 0.250 0.379
Cl 0.073 0.089 0.772
Cl 0.073 0.411 0.772
Cl 0.427 0.589 0.272
Cl 0.427 0.911 0.272
Cl 0.429 0.750 0.879
Cl 0.571 0.250 0.121
Cl 0.573 0.089 0.728
Cl 0.573 0.411 0.728
Cl 0.927 0.589 0.228
Cl 0.927 0.911 0.228
Cl 0.929 0.750 0.621

The 12 most intense peaks (2θ = 10–90°), in order of rising 2θ:
| Position (°2θ) | I/Imax |
| --- | --- |
| 15.16 | 100 |
| 20.63 | 64 |
| 22.00 | 23 |
| 25.70 | 64 |
| 26.01 | 23 |
| 29.14 | 53 |
| 30.60 | 17 |
| 34.25 | 31 |
| 37.19 | 25 |
| 39.74 | 25 |
| 44.13 | 30 |
| 48.30 | 21 |

# Hg2Cl3
Theoretical powder XRD pattern, Cu Kα (λ = 1.5418 Å). Input: the PBE geometry in Alexandria.
Peak positions follow from Bragg's law for the DFT cell and can differ from measured ones.

Atomic structure:
Cell lengths 7.716, 7.716, 7.716 Å; angles 54.49, 54.49, 54.49 degrees
Sites, in units of the cell vectors:
Hg 0.151 0.151 0.151
Hg 0.349 0.349 0.349
Hg 0.651 0.651 0.651
Hg 0.849 0.849 0.849
Cl 0.063 0.750 0.437
Cl 0.250 0.563 0.937
Cl 0.437 0.063 0.750
Cl 0.563 0.937 0.250
Cl 0.750 0.437 0.063
Cl 0.937 0.250 0.563

The 12 most intense peaks (2θ = 10–90°), in order of rising 2θ:
| Position (°2θ) | I/Imax |
| --- | --- |
| 17.07 | 39 |
| 23.22 | 99 |
| 25.21 | 100 |
| 34.54 | 43 |
| 37.45 | 90 |
| 43.24 | 44 |
| 44.42 | 47 |
| 48.67 | 25 |
| 57.46 | 17 |
| 59.46 | 23 |
| 61.98 | 23 |
| 77.16 | 22 |

# HgI2Cl
Theoretical powder XRD pattern, Cu Kα (λ = 1.5418 Å). Input: the PBE geometry in Alexandria.
Peak positions follow from Bragg's law for the DFT cell and can differ from measured ones.

Atomic structure:
Cell lengths 6.986, 7.638, 7.956 Å; angles 61.42, 75.38, 70.02 degrees
Sites, in units of the cell vectors:
Hg 0.000 0.000 0.000
Hg 0.355 0.403 0.703
I 0.335 0.808 0.547
I 0.506 0.336 0.321
I 0.886 0.397 0.768
I 0.890 0.064 0.430
Cl 0.052 0.641 0.174
Cl 0.438 0.047 0.939

The 12 most intense peaks (2θ = 10–90°), in order of rising 2θ:
| Position (°2θ) | I/Imax |
| --- | --- |
| 12.75 | 16 |
| 13.67 | 19 |
| 14.11 | 29 |
| 16.59 | 50 |
| 17.62 | 36 |
| 23.26 | 100 |
| 26.00 | 29 |
| 27.35 | 56 |
| 27.54 | 18 |
| 31.52 | 18 |
| 40.95 | 19 |
| 43.85 | 20 |